No. 1
# FeH4C3O8
Simulated PXRD pattern, Cu Kα X-rays. Input: a structure optimized by DFT (GGA+U).
No peak broadening, texture or thermal motion is included.

Structure:
abc: 5.660 6.906 9.084
angles: 91.91 98.12 95.69
Fractional coordinates of all 32 atoms:
Fe1 0.018 0.214 0.260
Fe2 0.982 0.786 0.740
H1 0.267 0.506 0.765
H2 0.277 0.613 0.935
H3 0.332 0.624 0.194
H4 0.496 0.791 0.133
H5 0.504 0.209 0.867
H6 0.668 0.376 0.806
H7 0.723 0.387 0.065
H8 0.733 0.494 0.235
C1 0.110 0.950 0.483
C2 0.116 0.060 0.986
C3 0.377 0.436 0.491
C4 0.623 0.564 0.509
C5 0.884 0.940 0.014
C6 0.890 0.050 0.517
O1 0.186 0.586 0.831
O2 0.187 0.828 0.575
O3 0.196 0.999 0.367
O4 0.201 0.016 0.870
O5 0.204 0.194 0.083
O6 0.273 0.415 0.354
O7 0.299 0.366 0.600
O8 0.351 0.700 0.106
O9 0.649 0.300 0.894
O10 0.701 0.634 0.400
O11 0.727 0.585 0.646
O12 0.796 0.806 0.917
O13 0.799 0.984 0.130
O14 0.804 0.001 0.633
O15 0.813 0.172 0.425
O16 0.814 0.414 0.169

Peak list (10 most intense, 2θ from 10° to 90°, in order of falling intensity)
- d 5.579, 2θ 15.89, I 100
- d 4.223, 2θ 21.04, I 30
- d 4.567, 2θ 19.44, I 25
- d 2.872, 2θ 31.14, I 23
- d 3.565, 2θ 24.98, I 23
- d 5.332, 2θ 16.63, I 19
- d 2.262, 2θ 39.86, I 19
- d 3.954, 2θ 22.48, I 16
- d 2.491, 2θ 36.06, I 15
- d 3.775, 2θ 23.57, I 12



No. 2
# FeH4C2O6
Simulated PXRD pattern, Cu Kα X-rays. Input: a structure optimized by DFT (GGA+U).
No peak broadening, texture or thermal motion is included.

Structure:
abc: 6.902 8.143 10.570
angles: 105.61 102.35 99.06
Fractional coordinates of all 52 atoms:
Fe1 0.000 0.000 0.000
Fe2 0.082 0.500 0.583
Fe3 0.499 0.000 0.500
Fe4 0.582 0.500 0.083
H1 0.126 0.894 0.542
H2 0.202 0.104 0.617
H3 0.271 0.896 0.858
H4 0.280 0.394 0.195
H5 0.302 0.106 0.888
H6 0.310 0.605 0.226
H7 0.379 0.396 0.466
H8 0.455 0.607 0.541
H9 0.627 0.893 0.042
H10 0.702 0.104 0.117
H11 0.771 0.896 0.358
H12 0.779 0.393 0.695
H13 0.802 0.106 0.387
H14 0.811 0.604 0.725
H15 0.880 0.395 0.965
H16 0.954 0.606 0.041
C1 0.224 0.898 0.224
C2 0.274 0.103 0.275
C3 0.308 0.398 0.808
C4 0.357 0.602 0.859
C5 0.724 0.898 0.724
C6 0.774 0.102 0.775
C7 0.808 0.398 0.308
C8 0.858 0.602 0.359
O1 0.106 0.822 0.105
O2 0.189 0.322 0.689
O3 0.193 0.178 0.195
O4 0.246 0.994 0.585
O5 0.256 0.006 0.919
O6 0.276 0.678 0.779
O7 0.305 0.822 0.305
O8 0.326 0.495 0.164
O9 0.335 0.507 0.499
O10 0.389 0.322 0.888
O11 0.392 0.179 0.394
O12 0.475 0.678 0.978
O13 0.606 0.822 0.605
O14 0.690 0.322 0.188
O15 0.693 0.177 0.694
O16 0.747 0.994 0.084
O17 0.756 0.007 0.419
O18 0.776 0.678 0.279
O19 0.806 0.821 0.804
O20 0.825 0.493 0.664
O21 0.835 0.505 0.998
O22 0.889 0.322 0.388
O23 0.893 0.178 0.894
O24 0.976 0.678 0.477

Peak list (10 most intense, 2θ from 10° to 90°, in order of falling intensity)
- d 4.899, 2θ 18.11, I 100
- d 4.815, 2θ 18.42, I 70
- d 3.147, 2θ 28.36, I 62
- d 3.612, 2θ 24.65, I 29
- d 2.637, 2θ 34.00, I 29
- d 2.654, 2θ 33.77, I 24
- d 1.852, 2θ 49.20, I 23
- d 2.014, 2θ 45.01, I 20
- d 3.818, 2θ 23.30, I 19
- d 2.033, 2θ 44.58, I 17